# 1
Computed XRD peak list of Bi3PdAu for Cu Ka, from a structure optimized by DFT (GGA-PBE).
Intensities are scaled so that the largest is 100.

Structural model:
a = 5.7123 Å, b = 6.5998 Å, c = 6.9724 Å
α = 90.00°, β = 102.46°, γ = 90.00°
Space group P2_1/m (No. 11)
Inequivalent atoms, fractional coordinates:
Bi (0.1188, 0.2500, 0.1189) (multiplicity 2)
Bi (0.2822, 0.0067, 0.6442) (multiplicity 4)
Pd (0.1242, 0.7500, 0.2876) (multiplicity 2)
Au (0.4163, 0.7500, 0.0106) (multiplicity 2)

Largest 6 diffraction maxima, in order of rising 2θ, 5° ≤ 2θ ≤ 70°:
2θ 30.09, I 100, hkl 0 2 1; 2θ 31.95, I 64, hkl 2 0 -1; 2θ 32.81, I 32, hkl 1 2 -1; 2θ 33.68, I 58, hkl 1 0 2; 2θ 35.56, I 75, hkl 1 2 1; 2θ 39.01, I 41, hkl 1 2 -2



# 2
Computed XRD peak list of K3Dy3GaSe8 for Cu Ka, from a structure optimized by DFT (GGA-PBE).
Intensities are scaled so that the largest is 100.

Structural model:
a = 14.1611 Å, b = 8.1672 Å, c = 9.2279 Å
α = 90.00°, β = 120.79°, γ = 90.00°
Space group C2/m (No. 12)
Inequivalent atoms, fractional coordinates:
K (0.0000, 0.0000, 0.0000) (multiplicity 2)
K (0.2500, 0.2500, 0.0000) (multiplicity 4)
Dy (0.0000, 0.5000, 0.5000) (multiplicity 2)
Dy (0.2500, 0.2500, 0.5000) (multiplicity 4)
Ga (0.0000, 0.0000, 0.5000) (multiplicity 2)
Se (0.0140, 0.2364, 0.3054) (multiplicity 8)
Se (0.2219, 0.0000, 0.6942) (multiplicity 4)
Se (0.2355, 0.5000, 0.7063) (multiplicity 4)

Largest 6 diffraction maxima, in order of rising 2θ, 5° ≤ 2θ ≤ 70°:
2θ 11.16, I 80, hkl 0 0 1; 2θ 29.37, I 100, hkl 2 2 -2; 2θ 36.67, I 27, hkl 4 0 1; 2θ 39.60, I 33, hkl 4 0 -4; 2θ 44.34, I 34, hkl 0 4 0; 2θ 54.08, I 17, hkl 8 0 -4



# 3
Computed XRD peak list of Tb2Pm5SmY for Cu Ka, from a structure optimized by DFT (GGA-PBE).
Intensities are scaled so that the largest is 100.

Structural model:
a = 5.6779 Å, b = 20.4401 Å, c = 10.6821 Å
α = 90.00°, β = 90.00°, γ = 90.00°
Space group Cmc2_1 (No. 36)
Inequivalent atoms, fractional coordinates:
Tb (0.0000, 0.1119, 0.0000) (multiplicity 4)
Tb (0.0000, 0.1156, 0.5808) (multiplicity 4)
Pm (0.0000, 0.0158, 0.2852) (multiplicity 4)
Pm (0.0000, 0.2795, 0.5744) (multiplicity 4)
Pm (0.0000, 0.2978, 0.9702) (multiplicity 4)
Pm (0.0000, 0.3901, 0.2889) (multiplicity 4)
Pm (0.0000, 0.4798, 0.0063) (multiplicity 4)
Sm (0.0000, 0.2006, 0.2749) (multiplicity 4)
Y (0.0000, 0.4095, 0.7216) (multiplicity 4)

Largest 6 diffraction maxima, in order of rising 2θ, 5° ≤ 2θ ≤ 70°:
2θ 27.48, I 17, hkl 0 6 1; 2θ 29.94, I 39, hkl 1 1 3; 2θ 31.51, I 38, hkl 2 0 0; 2θ 31.75, I 100, hkl 1 5 2; 2θ 56.26, I 20, hkl 3 5 2; 2θ 60.68, I 13, hkl 2 6 5



# 4
Computed XRD peak list of ThNp2FeN4 for Cu Ka, from a structure optimized by DFT (GGA-PBE).
Intensities are scaled so that the largest is 100.

Structural model:
a = 3.4148 Å, b = 11.4009 Å, c = 11.3724 Å
α = 90.00°, β = 90.00°, γ = 90.00°
Space group Cmcm (No. 63)
Inequivalent atoms, fractional coordinates:
Th (0.0000, 0.1066, 0.2500) (multiplicity 4)
Np (0.0000, 0.3690, 0.0569) (multiplicity 8)
Fe (0.0000, 0.1565, 0.7500) (multiplicity 4)
N (0.0000, 0.0000, 0.0000) (multiplicity 4)
N (0.0000, 0.2711, 0.6185) (multiplicity 8)
N (0.0000, 0.4508, 0.2500) (multiplicity 4)

Largest 6 diffraction maxima, in order of rising 2θ, 5° ≤ 2θ ≤ 70°:
2θ 28.27, I 100, hkl 0 2 3; 2θ 31.40, I 69, hkl 0 4 0; 2θ 31.55, I 87, hkl 1 1 2; 2θ 36.25, I 47, hkl 1 3 1; 2θ 38.83, I 57, hkl 1 3 2; 2θ 54.02, I 34, hkl 0 6 3



# 5
Computed XRD peak list of Ag3P11 for Cu Ka, from a structure optimized by DFT (GGA-PBE).
Intensities are scaled so that the largest is 100.

Structural model:
a = 13.0833 Å, b = 7.6467 Å, c = 6.6676 Å
α = 90.00°, β = 118.70°, γ = 90.00°
Space group Cm (No. 8)
Inequivalent atoms, fractional coordinates:
Ag (0.0000, 0.0000, 0.0000) (multiplicity 2)
Ag (0.0907, 0.5000, 0.8014) (multiplicity 2)
Ag (0.2975, 0.0000, 0.7736) (multiplicity 2)
P (0.0066, 0.5000, 0.0753) (multiplicity 2)
P (0.0092, 0.2289, 0.5373) (multiplicity 4)
P (0.0686, 0.2557, 0.2718) (multiplicity 4)
P (0.0972, 0.0000, 0.7485) (multiplicity 2)
P (0.2562, 0.2777, 0.5316) (multiplicity 4)
P (0.2783, 0.5000, 0.7582) (multiplicity 2)
P (0.3268, 0.3517, 0.3002) (multiplicity 4)

Largest 6 diffraction maxima, in order of rising 2θ, 5° ≤ 2θ ≤ 70°:
2θ 23.25, I 35, hkl 0 2 0; 2θ 23.83, I 38, hkl 3 1 -1; 2θ 27.88, I 100, hkl 0 2 1; 2θ 31.18, I 33, hkl 4 0 0; 2θ 31.50, I 34, hkl 4 0 -2; 2θ 47.82, I 34, hkl 4 2 1



# 6
Computed XRD peak list of NaCoGe4 for Cu Ka, from a structure optimized by DFT (GGA-PBE).
Intensities are scaled so that the largest is 100.

Structural model:
a = 5.1625 Å, b = 5.1625 Å, c = 9.7292 Å
α = 90.00°, β = 90.00°, γ = 90.00°
Space group P4_2/nmc (No. 137, origin choice 2)
Inequivalent atoms, fractional coordinates:
Na (0.2500, 0.7500, 0.2500) (multiplicity 2)
Co (0.2500, 0.7500, 0.7500) (multiplicity 2)
Ge (0.0044, 0.2500, 0.0555) (multiplicity 8)

Largest 6 diffraction maxima, in order of rising 2θ, 5° ≤ 2θ ≤ 70°:
2θ 18.24, I 36, hkl 0 0 2; 2θ 19.47, I 47, hkl 1 0 1; 2θ 25.15, I 32, hkl 1 0 2; 2θ 36.00, I 100, hkl 2 0 1; 2θ 48.40, I 31, hkl 2 1 3; 2θ 53.63, I 39, hkl 2 2 2



- Number 2 is which compound?
  K3Dy3GaSe8



What did the sixth record say?
Computed XRD peak list of NaCoGe4 for Cu Ka, from a structure optimized by DFT (GGA-PBE).
Intensities are scaled so that the largest is 100.

Structural model:
a = 5.1625 Å, b = 5.1625 Å, c = 9.7292 Å
α = 90.00°, β = 90.00°, γ = 90.00°
Space group P4_2/nmc (No. 137, origin choice 2)
Inequivalent atoms, fractional coordinates:
Na (0.2500, 0.7500, 0.2500) (multiplicity 2)
Co (0.2500, 0.7500, 0.7500) (multiplicity 2)
Ge (0.0044, 0.2500, 0.0555) (multiplicity 8)

Largest 6 diffraction maxima, in order of rising 2θ, 5° ≤ 2θ ≤ 70°:
2θ 18.24, I 36, hkl 0 0 2; 2θ 19.47, I 47, hkl 1 0 1; 2θ 25.15, I 32, hkl 1 0 2; 2θ 36.00, I 100, hkl 2 0 1; 2θ 48.40, I 31, hkl 2 1 3; 2θ 53.63, I 39, hkl 2 2 2